For La3InRu, a cell relaxed with GGA-PBE gives the computed PXRD pattern in this record (a wavelength of 1.5418 Å).

The 10 most intense peaks (2θ = 10–80°), low angle first:
(0 2 2), 27.60 deg, intensity 37
(2 0 1), 28.08 deg, intensity 24
(0 3 1), 29.24 deg, intensity 37
(1 2 2), 30.60 deg, intensity 24
(2 2 0), 31.91 deg, intensity 100
(2 0 2), 33.49 deg, intensity 17
(1 0 3), 33.93 deg, intensity 32
(0 4 0), 36.67 deg, intensity 28
(1 2 3), 38.71 deg, intensity 37
(3 0 2), 45.05 deg, intensity 15

Crystal structure
```
data_La3InRu
_cell_length_a 6.840
_cell_length_b 9.804
_cell_length_c 8.595
_cell_angle_alpha 90.00
_cell_angle_beta 90.00
_cell_angle_gamma 90.00
_symmetry_space_group_name_H-M 'P n m a'
_symmetry_Int_Tables_number 62
loop_
_symmetry_equiv_pos_as_xyz
'x,y,z'
'-x,-y,-z'
'-x+1/2,-y,z+1/2'
'x+1/2,y,-z+1/2'
'x+1/2,-y+1/2,-z+1/2'
'-x+1/2,y+1/2,z+1/2'
'-x,y+1/2,-z'
'x,-y+1/2,z'
loop_
_atom_site_label
_atom_site_type_symbol
_atom_site_fract_x
_atom_site_fract_y
_atom_site_fract_z
La1 La 0.061 0.047 0.198
La2 La 0.213 0.750 0.412
In1 In 0.247 0.750 0.003
Ru1 Ru 0.000 0.000 0.500
```